For CeH8Rh4, a structure optimized by DFT (GGA-PBE) gives the theoretical powder diffractogram in this record (Cu Kα).
Lines closer than 0.1° are merged.

The 8 most intense peaks (10 to 90 degrees two-theta), sorted by position:
| Position (°2θ) | I (rel.) | h k l |
| --- | --- | --- |
| 18.50 | 76 | 2 0 -1 |
| 19.01 | 37 | 1 1 0 |
| 21.74 | 48 | 1 1 -1 |
| 35.73 | 56 | 0 0 2 |
| 36.84 | 100 | 0 2 1 |
| 37.51 | 42 | 4 0 -2 |
| 42.47 | 34 | 4 0 0 |
| 48.71 | 45 | 4 2 -1 |

```
data_CeH8Rh4
_cell_length_a 10.183
_cell_length_b 5.582
_cell_length_c 6.010
_cell_angle_alpha 90.00
_cell_angle_beta 123.27
_cell_angle_gamma 90.00
_symmetry_space_group_name_H-M 'C 1 2/m 1'
_symmetry_Int_Tables_number 12
loop_
_symmetry_equiv_pos_as_xyz
'x,y,z'
'-x,-y,-z'
'-x,y,-z'
'x,-y,z'
'x+1/2,y+1/2,z'
'-x+1/2,-y+1/2,-z'
'-x+1/2,y+1/2,-z'
'x+1/2,-y+1/2,z'
loop_
_atom_site_label
_atom_site_type_symbol
_atom_site_fract_x
_atom_site_fract_y
_atom_site_fract_z
Ce1 Ce 0.000 0.000 0.000
H1 H 0.045 0.500 0.360
H2 H 0.085 0.000 0.455
H3 H 0.201 0.240 0.762
Rh1 Rh 0.000 0.255 0.500
Rh2 Rh 0.240 0.000 0.027
```

For K3Th3AgTe8, a structure optimized by DFT (GGA-PBE) gives the theoretical powder diffractogram in this record (Cu Kα).
Lines closer than 0.1° are merged.

The 8 most intense peaks (10 to 90 degrees two-theta), sorted by position:
| Position (°2θ) | I (rel.) | h k l |
| --- | --- | --- |
| 10.64 | 64 | 0 0 1 |
| 26.75 | 100 | 4 0 0 |
| 33.91 | 23 | 4 0 1 |
| 36.75 | 36 | 4 0 -4 |
| 39.59 | 37 | 0 4 0 |
| 46.19 | 17 | 2 2 3 |
| 48.43 | 20 | 8 0 -4 |
| 64.27 | 20 | 8 4 -4 |

```
data_K3Th3AgTe8
_cell_length_a 15.762
_cell_length_b 9.109
_cell_length_c 9.833
_cell_angle_alpha 90.00
_cell_angle_beta 122.28
_cell_angle_gamma 90.00
_symmetry_space_group_name_H-M 'C 1 2/m 1'
_symmetry_Int_Tables_number 12
loop_
_symmetry_equiv_pos_as_xyz
'x,y,z'
'-x,-y,-z'
'-x,y,-z'
'x,-y,z'
'x+1/2,y+1/2,z'
'-x+1/2,-y+1/2,-z'
'-x+1/2,y+1/2,-z'
'x+1/2,-y+1/2,z'
loop_
_atom_site_label
_atom_site_type_symbol
_atom_site_fract_x
_atom_site_fract_y
_atom_site_fract_z
K1 K 0.000 0.000 0.000
K2 K 0.250 0.250 0.000
Th1 Th 0.000 0.500 0.500
Th2 Th 0.250 0.250 0.500
Ag1 Ag 0.000 0.000 0.500
Te1 Te 0.016 0.255 0.293
Te2 Te 0.238 0.000 0.706
Te3 Te 0.240 0.500 0.719
```

For Ce5GaRu6, a structure optimized by DFT (GGA-PBE) gives the theoretical powder diffractogram in this record (Cu Kα).
Lines closer than 0.1° are merged.

The 8 most intense peaks (10 to 90 degrees two-theta), sorted by position:
| Position (°2θ) | I (rel.) | h k l |
| --- | --- | --- |
| 22.74 | 19 | 2 0 -1 |
| 30.80 | 38 | 2 0 -2 |
| 33.84 | 100 | 1 3 1 |
| 41.53 | 38 | 3 3 -1 |
| 47.82 | 18 | 2 0 2 |
| 49.39 | 15 | 0 6 0 |
| 49.57 | 13 | 4 0 0 |
| 50.91 | 15 | 1 3 -3 |

```
data_Ce5GaRu6
_cell_length_a 8.076
_cell_length_b 11.072
_cell_length_c 6.245
_cell_angle_alpha 90.00
_cell_angle_beta 114.37
_cell_angle_gamma 90.00
_symmetry_space_group_name_H-M 'C 1 2/m 1'
_symmetry_Int_Tables_number 12
loop_
_symmetry_equiv_pos_as_xyz
'x,y,z'
'-x,-y,-z'
'-x,y,-z'
'x,-y,z'
'x+1/2,y+1/2,z'
'-x+1/2,-y+1/2,-z'
'-x+1/2,y+1/2,-z'
'x+1/2,-y+1/2,z'
loop_
_atom_site_label
_atom_site_type_symbol
_atom_site_fract_x
_atom_site_fract_y
_atom_site_fract_z
Ce1 Ce 0.000 0.000 0.000
Ce2 Ce 0.000 0.173 0.500
Ce3 Ce 0.000 0.344 0.000
Ga1 Ga 0.000 0.500 0.500
Ru1 Ru 0.212 0.500 0.270
Ru2 Ru 0.221 0.147 0.326
```

For La3CoBi, a structure optimized by DFT (GGA-PBE) gives the theoretical powder diffractogram in this record (Cu Kα).
Lines closer than 0.1° are merged.

The 8 most intense peaks (10 to 90 degrees two-theta), sorted by position:
| Position (°2θ) | I (rel.) | h k l |
| --- | --- | --- |
| 28.96 | 100 | 2 2 0 |
| 33.36 | 27 | 0 4 0 |
| 33.66 | 50 | 2 0 2 |
| 48.12 | 36 | 2 4 2 |
| 48.35 | 17 | 4 0 0 |
| 56.95 | 15 | 2 6 0 |
| 57.34 | 26 | 4 2 2 |
| 60.01 | 18 | 4 4 0 |

```
data_La3CoBi
_cell_length_a 7.530
_cell_length_b 10.743
_cell_length_c 7.531
_cell_angle_alpha 90.00
_cell_angle_beta 90.00
_cell_angle_gamma 90.00
_symmetry_space_group_name_H-M 'P n m a'
_symmetry_Int_Tables_number 62
loop_
_symmetry_equiv_pos_as_xyz
'x,y,z'
'-x,-y,-z'
'-x+1/2,-y,z+1/2'
'x+1/2,y,-z+1/2'
'x+1/2,-y+1/2,-z+1/2'
'-x+1/2,y+1/2,z+1/2'
'-x,y+1/2,-z'
'x,-y+1/2,z'
loop_
_atom_site_label
_atom_site_type_symbol
_atom_site_fract_x
_atom_site_fract_y
_atom_site_fract_z
La1 La 0.000 0.250 0.001
La2 La 0.229 0.001 0.729
Co1 Co 0.000 0.000 0.000
Bi1 Bi 0.000 0.250 0.500
```

For Hf3Co2Tc, a structure optimized by DFT (GGA-PBE) gives the theoretical powder diffractogram in this record (Cu Kα).
Lines closer than 0.1° are merged.

The 8 most intense peaks (10 to 90 degrees two-theta), sorted by position:
| Position (°2θ) | I (rel.) | h k l |
| --- | --- | --- |
| 28.18 | 20 | 1 3 0 |
| 39.81 | 100 | 1 3 1 |
| 40.16 | 24 | 2 0 0 |
| 40.39 | 24 | 0 6 0 |
| 58.27 | 16 | 2 6 0 |
| 72.73 | 17 | 3 3 1 |
| 73.05 | 16 | 1 9 1 |
| 85.82 | 11 | 2 6 2 |

```
data_Hf3Co2Tc
_cell_length_a 4.491
_cell_length_b 13.400
_cell_length_c 3.239
_cell_angle_alpha 90.00
_cell_angle_beta 90.00
_cell_angle_gamma 90.00
_symmetry_space_group_name_H-M 'C m m m'
_symmetry_Int_Tables_number 65
_symmetry_space_group_name_Hall '-C 2 2'
loop_
_atom_site_label
_atom_site_type_symbol
_atom_site_fract_x
_atom_site_fract_y
_atom_site_fract_z
Hf1 Hf 0.000 0.000 0.000
Hf2 Hf 0.000 0.331 0.000
Co1 Co 0.000 0.168 0.500
Tc1 Tc 0.000 0.500 0.500
```

For Na2InHg6, a structure optimized by DFT (GGA-PBE) gives the theoretical powder diffractogram in this record (Cu Kα).
Lines closer than 0.1° are merged.

The 8 most intense peaks (10 to 90 degrees two-theta), sorted by position:
| Position (°2θ) | I (rel.) | h k l |
| --- | --- | --- |
| 21.82 | 25 | 1 1 1 |
| 32.81 | 32 | 0 3 1 |
| 33.85 | 100 | 3 0 1 |
| 34.25 | 38 | 1 3 1 |
| 34.95 | 37 | 0 0 2 |
| 40.43 | 18 | 3 3 0 |
| 54.49 | 16 | 3 3 2 |
| 61.08 | 18 | 1 6 1 |

```
data_Na2InHg6
_cell_length_a 9.274
_cell_length_b 9.667
_cell_length_c 5.135
_cell_angle_alpha 90.00
_cell_angle_beta 90.00
_cell_angle_gamma 90.00
_symmetry_space_group_name_H-M 'P n n m'
_symmetry_Int_Tables_number 58
loop_
_symmetry_equiv_pos_as_xyz
'x,y,z'
'-x,-y,-z'
'-x,-y,z'
'x,y,-z'
'x+1/2,-y+1/2,-z+1/2'
'-x+1/2,y+1/2,z+1/2'
'-x+1/2,y+1/2,-z+1/2'
'x+1/2,-y+1/2,z+1/2'
loop_
_atom_site_label
_atom_site_type_symbol
_atom_site_fract_x
_atom_site_fract_y
_atom_site_fract_z
Na1 Na 0.168 0.228 0.000
In1 In 0.000 0.000 0.500
Hg1 Hg 0.003 0.333 0.500
Hg2 Hg 0.164 0.566 0.000
Hg3 Hg 0.166 0.894 0.000
```

For AlPH4O6, a structure optimized by DFT (GGA-PBE) gives the theoretical powder diffractogram in this record (Cu Kα).
Lines closer than 0.1° are merged.

The 8 most intense peaks (10 to 90 degrees two-theta), sorted by position:
| Position (°2θ) | I (rel.) | h k l |
| --- | --- | --- |
| 13.85 | 24 | 0 1 1 |
| 18.11 | 36 | 0 2 0 |
| 19.39 | 77 | 1 1 -1 |
| 21.06 | 100 | 0 0 2 |
| 25.02 | 41 | 1 2 -1 |
| 32.41 | 55 | 1 3 -1 |
| 33.16 | 41 | 0 1 3 |
| 35.94 | 32 | 1 0 2 |

```
data_AlPH4O6
_cell_length_a 5.178
_cell_length_b 9.799
_cell_length_c 9.796
_cell_angle_alpha 90.00
_cell_angle_beta 120.54
_cell_angle_gamma 90.00
_symmetry_space_group_name_H-M 'P 1 21/c 1'
_symmetry_Int_Tables_number 14
loop_
_symmetry_equiv_pos_as_xyz
'x,y,z'
'-x,-y,-z'
'-x,y+1/2,-z+1/2'
'x,-y+1/2,z+1/2'
loop_
_atom_site_label
_atom_site_type_symbol
_atom_site_fract_x
_atom_site_fract_y
_atom_site_fract_z
Al1 Al 0.117 0.174 0.210
P1 P 0.268 0.644 0.675
H1 H 0.093 0.041 0.757
H2 H 0.329 0.161 0.514
H3 H 0.372 0.561 0.304
H4 H 0.413 0.685 0.026
O1 O 0.067 0.677 0.746
O2 O 0.138 0.708 0.508
O3 O 0.156 0.558 0.270
O4 O 0.289 0.014 0.169
O5 O 0.385 0.144 0.433
O6 O 0.416 0.206 0.715
```

For Pm2Er12Tm5, a structure optimized by DFT (GGA-PBE) gives the theoretical powder diffractogram in this record (Cu Kα).
Lines closer than 0.1° are merged.

The 8 most intense peaks (10 to 90 degrees two-theta), sorted by position:
| Position (°2θ) | I (rel.) | h k l |
| --- | --- | --- |
| 29.26 | 17 | 1 1 2 |
| 29.63 | 36 | 1 0 3 |
| 31.44 | 69 | 0 3 -2 |
| 32.73 | 52 | -1 2 2 |
| 32.88 | 100 | 1 1 -4 |
| 33.04 | 52 | 2 -2 1 |
| 50.45 | 19 | -3 1 3 |
| 60.67 | 22 | 3 2 -5 |

```
data_Pm2Er12Tm5
_cell_length_a 6.188
_cell_length_b 8.725
_cell_length_c 11.974
_cell_angle_alpha 111.26
_cell_angle_beta 92.01
_cell_angle_gamma 100.14
_symmetry_space_group_name_H-M 'P -1'
_symmetry_Int_Tables_number 2
loop_
_symmetry_equiv_pos_as_xyz
'x,y,z'
'-x,-y,-z'
loop_
_atom_site_label
_atom_site_type_symbol
_atom_site_fract_x
_atom_site_fract_y
_atom_site_fract_z
Pm1 Pm 0.235 0.438 0.432
Er1 Er 0.046 0.600 0.175
Er2 Er 0.192 0.074 0.834
Er3 Er 0.221 0.235 0.137
Er4 Er 0.275 0.677 0.717
Er5 Er 0.333 0.030 0.325
Er6 Er 0.405 0.283 0.658
Tm1 Tm 0.138 0.851 0.512
Tm2 Tm 0.289 0.838 0.013
Tm3 Tm 0.500 0.500 0.000
```

For NdSc2Cr2C4, a structure optimized by DFT (GGA-PBE) gives the theoretical powder diffractogram in this record (Cu Kα).
Lines closer than 0.1° are merged.

The 8 most intense peaks (10 to 90 degrees two-theta), sorted by position:
| Position (°2θ) | I (rel.) | h k l |
| --- | --- | --- |
| 16.75 | 72 | 0 0 1 |
| 27.59 | 31 | 4 0 -1 |
| 29.02 | 28 | 1 1 0 |
| 33.88 | 51 | 0 0 2 |
| 35.77 | 100 | 3 1 -1 |
| 42.72 | 27 | 1 1 -2 |
| 43.82 | 69 | 3 1 1 |
| 45.19 | 25 | 6 0 0 |

```
data_NdSc2Cr2C4
_cell_length_a 13.146
_cell_length_b 3.183
_cell_length_c 5.779
_cell_angle_alpha 90.00
_cell_angle_beta 113.68
_cell_angle_gamma 90.00
_symmetry_space_group_name_H-M 'C 1 2/m 1'
_symmetry_Int_Tables_number 12
loop_
_symmetry_equiv_pos_as_xyz
'x,y,z'
'-x,-y,-z'
'-x,y,-z'
'x,-y,z'
'x+1/2,y+1/2,z'
'-x+1/2,-y+1/2,-z'
'-x+1/2,y+1/2,-z'
'x+1/2,-y+1/2,z'
loop_
_atom_site_label
_atom_site_type_symbol
_atom_site_fract_x
_atom_site_fract_y
_atom_site_fract_z
Nd1 Nd 0.000 0.000 0.000
Sc1 Sc 0.153 0.000 0.541
Cr1 Cr 0.176 0.500 0.972
C1 C 0.023 0.500 0.632
C2 C 0.224 0.000 0.218
```

For Sn3HgCl8, a structure optimized by DFT (GGA-PBE) gives the theoretical powder diffractogram in this record (Cu Kα).
Lines closer than 0.1° are merged.

The 8 most intense peaks (10 to 90 degrees two-theta), sorted by position:
| Position (°2θ) | I (rel.) | h k l |
| --- | --- | --- |
| 13.93 | 100 | 1 0 1 |
| 24.64 | 33 | 1 0 3 |
| 25.11 | 43 | 2 0 1 |
| 25.30 | 58 | 1 1 2 |
| 28.07 | 34 | 2 0 2 |
| 32.45 | 46 | 2 0 3 |
| 42.31 | 51 | 2 2 0 |
| 43.89 | 48 | 2 0 5 |

```
data_Sn3HgCl8
_cell_length_a 8.5448
_cell_length_b 8.5448
_cell_length_c 12.4227
_cell_angle_alpha 90.00
_cell_angle_beta 90.00
_cell_angle_gamma 120.00
_symmetry_space_group_name_H-M 'P 63 m c'
_symmetry_Int_Tables_number 186
_symmetry_space_group_name_Hall 'P 6c -2c'
loop_
_atom_site_label
_atom_site_type_symbol
_atom_site_fract_x
_atom_site_fract_y
_atom_site_fract_z
Sn1 Sn 0.1695 0.3390 0.0000
Hg1 Hg 0.3333 0.6667 0.2822
Cl1 Cl 0.0000 0.0000 0.1189
Cl2 Cl 0.0453 0.5227 0.1320
Cl3 Cl 0.1765 0.3530 0.3841
Cl4 Cl 0.3333 0.6667 0.8771
```

For Dy5Os2Au, a structure optimized by DFT (GGA-PBE) gives the theoretical powder diffractogram in this record (Cu Kα).
Lines closer than 0.1° are merged.

The 8 most intense peaks (10 to 90 degrees two-theta), sorted by position:
| Position (°2θ) | I (rel.) | h k l |
| --- | --- | --- |
| 13.44 | 14 | 0 0 2 |
| 31.74 | 17 | 1 1 4 |
| 33.04 | 100 | 2 1 3 |
| 35.86 | 26 | 2 0 4 |
| 36.89 | 65 | 3 1 0 |
| 43.21 | 25 | 2 1 5 |
| 68.79 | 19 | 3 1 8 |
| 69.00 | 22 | 4 4 0 |

```
data_Dy5Os2Au
_cell_length_a 7.706
_cell_length_b 7.706
_cell_length_c 13.179
_cell_angle_alpha 90.00
_cell_angle_beta 90.00
_cell_angle_gamma 90.00
_symmetry_space_group_name_H-M 'I 4/m c m'
_symmetry_Int_Tables_number 140
_symmetry_space_group_name_Hall '-I 4 2c'
loop_
_atom_site_label
_atom_site_type_symbol
_atom_site_fract_x
_atom_site_fract_y
_atom_site_fract_z
Dy1 Dy 0.000 0.000 0.000
Dy2 Dy 0.160 0.340 0.135
Os1 Os 0.140 0.360 0.500
Au1 Au 0.000 0.000 0.250
```